For Rb2Sn5Pb12, a DFT-relaxed cell (PBE, Alexandria) gives the computed powder diffraction line list in this record (Cu Kα (λ = 1.5418 Å)).

Most intense lines, 2θ = 15–90°, by angle:
| index | d [Å] | 2θ (°) | I (rel.) |
| --- | --- | --- | --- |
| 1 1 0 | 5.699 | 15.55 | 31 |
| 3 0 0 | 3.291 | 27.10 | 15 |
| 0 2 4 | 3.252 | 27.42 | 26 |
| 0 0 6 | 2.883 | 31.02 | 30 |
| 3 0 3 | 2.855 | 31.33 | 100 |
| 1 1 6 | 2.572 | 34.88 | 23 |
| 2 2 3 | 2.555 | 35.13 | 73 |
| 3 0 9 | 1.659 | 55.37 | 16 |
| 6 0 0 | 1.645 | 55.88 | 15 |
| 2 2 9 | 1.594 | 57.85 | 15 |

Structure:
```
data_Rb2Sn5Pb12
_cell_length_a 11.3987
_cell_length_b 11.3987
_cell_length_c 17.2951
_cell_angle_alpha 90.00
_cell_angle_beta 90.00
_cell_angle_gamma 120.00
_space_group_name_H-M_alt 'R -3 m'
_space_group_IT_number 166
_space_group_name_Hall '-R 3 2"'
loop_
_atom_site_label
_atom_site_fract_x
_atom_site_fract_y
_atom_site_fract_z
_atom_site_occupancy
Rb1 0.0000 0.0000 0.1584 1
Sn1 0.0000 0.0000 0.4044 1
Sn2 0.0000 0.5000 0.0000 1
Pb1 0.0000 0.2926 0.5000 1
Pb2 0.0103 0.5052 0.3489 1
```



For AcGa2HgPt5, a DFT-relaxed cell (PBE, Alexandria) gives the computed powder diffraction line list in this record (Cu Kα (λ = 1.5418 Å)).

Most intense lines, 2θ = 15–90°, by angle:
| index | d [Å] | 2θ (°) | I (rel.) |
| --- | --- | --- | --- |
| 1 0 2 | 2.998 | 29.80 | 8 |
| 1 1 2 | 2.544 | 35.27 | 100 |
| 2 0 0 | 2.405 | 37.39 | 60 |
| 0 0 4 | 1.917 | 47.41 | 10 |
| 2 0 3 | 1.752 | 52.22 | 7 |
| 2 2 0 | 1.700 | 53.92 | 21 |
| 2 0 4 | 1.499 | 61.89 | 18 |
| 3 1 2 | 1.414 | 66.09 | 33 |
| 2 2 4 | 1.272 | 74.59 | 11 |
| 1 1 6 | 1.197 | 80.22 | 11 |

Structure:
```
data_AcGa2HgPt5
_cell_length_a 4.810
_cell_length_b 4.810
_cell_length_c 7.670
_cell_angle_alpha 90.00
_cell_angle_beta 90.00
_cell_angle_gamma 90.00
_space_group_name_H-M_alt 'P 4/m m m'
_space_group_IT_number 123
_space_group_name_Hall '-P 4 2'
loop_
_atom_site_label
_atom_site_fract_x
_atom_site_fract_y
_atom_site_fract_z
_atom_site_occupancy
Ac1 0.000 0.000 0.000 1
Ga1 0.500 0.500 0.336 1
Hg1 0.000 0.000 0.500 1
Pt1 0.000 0.500 0.267 1
Pt2 0.500 0.500 0.000 1
```



For ZrTl2Bi, a DFT-relaxed cell (PBE, Alexandria) gives the computed powder diffraction line list in this record (Cu Kα (λ = 1.5418 Å)).

Most intense lines, 2θ = 15–90°, by angle:
| index | d [Å] | 2θ (°) | I (rel.) |
| --- | --- | --- | --- |
| 0 0 12 | 2.967 | 30.12 | 71 |
| 1 0 1 | 2.912 | 30.70 | 22 |
| 0 1 2 | 2.883 | 31.01 | 100 |
| 0 1 5 | 2.703 | 33.14 | 73 |
| 1 0 7 | 2.534 | 35.43 | 59 |
| 1 0 10 | 2.259 | 39.91 | 54 |
| 0 1 14 | 1.918 | 47.39 | 29 |
| 1 1 0 | 1.687 | 54.38 | 42 |
| 1 1 12 | 1.467 | 63.43 | 52 |
| 1 1 24 | 1.114 | 87.57 | 23 |

Structure:
```
data_ZrTl2Bi
_cell_length_a 3.3740
_cell_length_b 3.3740
_cell_length_c 35.6082
_cell_angle_alpha 90.00
_cell_angle_beta 90.00
_cell_angle_gamma 120.00
_space_group_name_H-M_alt 'R -3 m'
_space_group_IT_number 166
_space_group_name_Hall '-R 3 2"'
loop_
_atom_site_label
_atom_site_fract_x
_atom_site_fract_y
_atom_site_fract_z
_atom_site_occupancy
Zr1 0.0000 0.0000 0.0000 1
Tl1 0.0000 0.0000 0.0840 1
Bi1 0.0000 0.0000 0.5000 1
```



For Mn4GaGeN, a DFT-relaxed cell (PBE, Alexandria) gives the computed powder diffraction line list in this record (Cu Kα (λ = 1.5418 Å)).

Most intense lines, 2θ = 15–90°, by angle:
| index | d [Å] | 2θ (°) | I (rel.) |
| --- | --- | --- | --- |
| 2 0 0 | 2.642 | 33.93 | 32 |
| 2 2 0 | 2.445 | 36.76 | 66 |
| 0 6 0 | 2.150 | 42.02 | 37 |
| 2 4 0 | 2.044 | 44.32 | 100 |
| 2 0 2 | 1.868 | 48.75 | 61 |
| 2 6 2 | 1.410 | 66.28 | 34 |
| 4 0 0 | 1.321 | 71.42 | 18 |
| 2 10 0 | 1.159 | 83.36 | 17 |
| 4 6 0 | 1.125 | 86.47 | 16 |
| 4 4 2 | 1.109 | 88.05 | 25 |

Structure:
```
data_Mn4GaGeN
_cell_length_a 5.284
_cell_length_b 12.901
_cell_length_c 5.283
_cell_angle_alpha 90.00
_cell_angle_beta 90.00
_cell_angle_gamma 90.00
_space_group_name_H-M_alt 'C m c m'
_space_group_IT_number 63
_space_group_name_Hall '-C 2c 2'
loop_
_atom_site_label
_atom_site_fract_x
_atom_site_fract_y
_atom_site_fract_z
_atom_site_occupancy
Mn1 0.000 0.088 0.250 1
Mn2 0.000 0.409 0.250 1
Mn3 0.250 0.250 0.000 1
Ga1 0.000 0.396 0.750 1
Ge1 0.000 0.106 0.750 1
N1 0.000 0.249 0.250 1
```



For ZnBi2O6, a DFT-relaxed cell (PBE, Alexandria) gives the computed powder diffraction line list in this record (Cu Kα (λ = 1.5418 Å)).

Most intense lines, 2θ = 15–90°, by angle:
| index | d [Å] | 2θ (°) | I (rel.) |
| --- | --- | --- | --- |
| 2 0 0 | 4.000 | 22.23 | 35 |
| 0 1 1 | 3.978 | 22.35 | 75 |
| 0 2 0 | 2.927 | 30.54 | 24 |
| 2 1 1 | 2.820 | 31.73 | 100 |
| 0 0 2 | 2.710 | 33.05 | 20 |
| 0 2 2 | 1.989 | 45.61 | 21 |
| 4 1 1 | 1.787 | 51.12 | 19 |
| 2 2 2 | 1.781 | 51.30 | 21 |
| 2 3 1 | 1.669 | 55.03 | 19 |
| 2 1 3 | 1.585 | 58.20 | 22 |

Structure:
```
data_ZnBi2O6
_cell_length_a 7.999
_cell_length_b 5.855
_cell_length_c 5.421
_cell_angle_alpha 90.00
_cell_angle_beta 90.00
_cell_angle_gamma 90.00
_space_group_name_H-M_alt 'P m n 21'
_space_group_IT_number 31
loop_
_space_group_symop_operation_xyz
'x,y,z'
'-x+1/2,-y,z+1/2'
'-x,y,z'
'x+1/2,-y,z+1/2'
loop_
_atom_site_label
_atom_site_fract_x
_atom_site_fract_y
_atom_site_fract_z
_atom_site_occupancy
Zn1 0.000 0.175 0.000 1
Bi1 0.248 0.740 0.972 1
O1 0.000 0.288 0.641 1
O2 0.000 0.824 0.842 1
O3 0.166 0.985 0.243 1
O4 0.178 0.422 0.129 1
```



For Ta4NbSn, a DFT-relaxed cell (PBE, Alexandria) gives the computed powder diffraction line list in this record (Cu Kα (λ = 1.5418 Å)).

Most intense lines, 2θ = 15–90°, by angle:
| index | d [Å] | 2θ (°) | I (rel.) |
| --- | --- | --- | --- |
| 3 1 0 | 2.434 | 36.93 | 100 |
| 1 1 -2 | 2.370 | 37.96 | 91 |
| 2 0 2 | 2.307 | 39.05 | 43 |
| 4 0 -2 | 2.299 | 39.19 | 41 |
| 0 2 0 | 1.778 | 51.40 | 20 |
| 6 0 0 | 1.670 | 55.00 | 16 |
| 2 2 2 | 1.407 | 66.44 | 36 |
| 5 1 2 | 1.367 | 68.68 | 17 |
| 7 1 -2 | 1.363 | 68.87 | 15 |
| 1 1 4 | 1.333 | 70.69 | 15 |

Structure:
```
data_Ta4NbSn
_cell_length_a 10.499
_cell_length_b 3.555
_cell_length_c 6.360
_cell_angle_alpha 90.00
_cell_angle_beta 107.43
_cell_angle_gamma 90.00
_space_group_name_H-M_alt 'C 1 2/m 1'
_space_group_IT_number 12
loop_
_space_group_symop_operation_xyz
'x,y,z'
'-x,-y,-z'
'-x,y,-z'
'x,-y,z'
'x+1/2,y+1/2,z'
'-x+1/2,-y+1/2,-z'
'-x+1/2,y+1/2,-z'
'x+1/2,-y+1/2,z'
loop_
_atom_site_label
_atom_site_fract_x
_atom_site_fract_y
_atom_site_fract_z
_atom_site_occupancy
Ta1 0.165 0.000 0.342 1
Ta2 0.172 0.000 0.820 1
Nb1 0.000 0.500 0.500 1
Sn1 0.000 0.500 0.000 1
```



For PuGaNi3, a DFT-relaxed cell (PBE, Alexandria) gives the computed powder diffraction line list in this record (Cu Kα (λ = 1.5418 Å)).

Most intense lines, 2θ = 15–90°, by angle:
| index | d [Å] | 2θ (°) | I (rel.) |
| --- | --- | --- | --- |
| 0 0 2 | 5.350 | 16.57 | 22 |
| 1 0 1 | 3.582 | 24.86 | 35 |
| 1 1 0 | 2.688 | 33.34 | 28 |
| 1 0 3 | 2.601 | 34.48 | 77 |
| 1 1 2 | 2.402 | 37.44 | 100 |
| 2 0 0 | 1.901 | 47.86 | 44 |
| 1 0 5 | 1.865 | 48.84 | 32 |
| 2 1 3 | 1.535 | 60.31 | 31 |
| 2 1 5 | 1.331 | 70.78 | 21 |
| 3 1 2 | 1.173 | 82.19 | 20 |

Structure:
```
data_PuGaNi3
_cell_length_a 3.801
_cell_length_b 3.801
_cell_length_c 10.701
_cell_angle_alpha 90.00
_cell_angle_beta 90.00
_cell_angle_gamma 90.00
_space_group_name_H-M_alt 'I 4 m m'
_space_group_IT_number 107
_space_group_name_Hall 'I 4 -2'
loop_
_atom_site_label
_atom_site_fract_x
_atom_site_fract_y
_atom_site_fract_z
_atom_site_occupancy
Pu1 0.000 0.000 0.000 1
Ga1 0.000 0.000 0.647 1
Ni1 0.000 0.000 0.423 1
Ni2 0.000 0.500 0.283 1
```



For Ta2TiC3, a DFT-relaxed cell (PBE, Alexandria) gives the computed powder diffraction line list in this record (Cu Kα (λ = 1.5418 Å)).

Most intense lines, 2θ = 15–90°, by angle:
| index | d [Å] | 2θ (°) | I (rel.) |
| --- | --- | --- | --- |
| 0 0 2 | 4.701 | 18.88 | 12 |
| 0 1 1 | 4.020 | 22.11 | 20 |
| 1 1 0 | 2.562 | 35.03 | 100 |
| 0 2 0 | 2.224 | 40.57 | 23 |
| 1 0 3 | 2.216 | 40.72 | 45 |
| 1 2 3 | 1.570 | 58.83 | 30 |
| 2 0 0 | 1.567 | 58.94 | 15 |
| 1 3 0 | 1.340 | 70.24 | 14 |
| 2 1 3 | 1.337 | 70.44 | 27 |
| 2 2 0 | 1.281 | 74.01 | 15 |

Structure:
```
data_Ta2TiC3
_cell_length_a 3.133
_cell_length_b 4.448
_cell_length_c 9.403
_cell_angle_alpha 90.00
_cell_angle_beta 90.00
_cell_angle_gamma 90.00
_space_group_name_H-M_alt 'I m m m'
_space_group_IT_number 71
_space_group_name_Hall '-I 2 2'
loop_
_atom_site_label
_atom_site_fract_x
_atom_site_fract_y
_atom_site_fract_z
_atom_site_occupancy
Ta1 0.000 0.000 0.165 1
Ti1 0.000 0.000 0.500 1
C1 0.000 0.500 0.164 1
C2 0.000 0.500 0.500 1
```



For Nb2CuO6, a DFT-relaxed cell (PBE, Alexandria) gives the computed powder diffraction line list in this record (Cu Kα (λ = 1.5418 Å)).

Most intense lines, 2θ = 15–90°, by angle:
| index | d [Å] | 2θ (°) | I (rel.) |
| --- | --- | --- | --- |
| 1 1 1 | 3.195 | 27.93 | 100 |
| 0 2 1 | 2.946 | 30.34 | 27 |
| 2 1 0 | 2.877 | 31.09 | 10 |
| 3 0 0 | 2.537 | 35.38 | 35 |
| 2 1 1 | 2.447 | 36.73 | 12 |
| 2 2 1 | 1.987 | 45.67 | 18 |
| 3 0 2 | 1.715 | 53.44 | 46 |
| 3 2 1 | 1.635 | 56.28 | 16 |
| 1 4 1 | 1.564 | 59.07 | 15 |
| 3 3 0 | 1.465 | 63.52 | 12 |

Structure:
```
data_Nb2CuO6
_cell_length_a 8.7881
_cell_length_b 8.7881
_cell_length_c 4.6526
_cell_angle_alpha 90.00
_cell_angle_beta 90.00
_cell_angle_gamma 120.00
_space_group_name_H-M_alt 'P 3 2 1'
_space_group_IT_number 150
loop_
_space_group_symop_operation_xyz
'x,y,z'
'-y,x-y,z'
'-x+y,-x,z'
'y,x,-z'
'x-y,-y,-z'
'-x,-x+y,-z'
loop_
_atom_site_label
_atom_site_fract_x
_atom_site_fract_y
_atom_site_fract_z
_atom_site_occupancy
Nb1 0.0000 0.3685 0.0000 1
Nb2 0.0000 0.7029 0.5000 1
Cu1 0.0000 0.0000 0.0000 1
Cu2 0.3333 0.6667 0.5084 1
O1 0.1025 0.5592 0.2619 1
O2 0.1098 0.2277 0.2351 1
O3 0.2107 0.4315 0.7426 1
```



For Tm5MnSe4, a DFT-relaxed cell (PBE, Alexandria) gives the computed powder diffraction line list in this record (Cu Kα (λ = 1.5418 Å)).

Most intense lines, 2θ = 15–90°, by angle:
| index | d [Å] | 2θ (°) | I (rel.) |
| --- | --- | --- | --- |
| 1 2 1 | 3.305 | 26.97 | 28 |
| 3 1 0 | 2.863 | 31.25 | 100 |
| 2 4 0 | 2.024 | 44.77 | 72 |
| 5 0 1 | 1.726 | 53.05 | 12 |
| 2 4 2 | 1.653 | 55.61 | 24 |
| 6 2 0 | 1.431 | 65.18 | 11 |
| 3 6 1 | 1.313 | 71.88 | 4 |
| 5 5 0 | 1.280 | 74.05 | 29 |
| 5 5 2 | 1.169 | 82.55 | 20 |
| 4 7 1 | 1.101 | 88.84 | 3 |

Structure:
```
data_Tm5MnSe4
_cell_length_a 9.049
_cell_length_b 9.049
_cell_length_c 5.730
_cell_angle_alpha 90.00
_cell_angle_beta 90.00
_cell_angle_gamma 90.00
_space_group_name_H-M_alt 'I 4'
_space_group_IT_number 79
loop_
_space_group_symop_operation_xyz
'x,y,z'
'-y,x,z'
'-x,-y,z'
'y,-x,z'
'x+1/2,y+1/2,z+1/2'
'-y+1/2,x+1/2,z+1/2'
'-x+1/2,-y+1/2,z+1/2'
'y+1/2,-x+1/2,z+1/2'
loop_
_atom_site_label
_atom_site_fract_x
_atom_site_fract_y
_atom_site_fract_z
_atom_site_occupancy
Tm1 0.000 0.000 0.000 1
Tm2 0.096 0.717 0.450 1
Mn1 0.000 0.000 0.494 1
Se1 0.092 0.693 0.952 1
```



For SrLiTeI, a DFT-relaxed cell (PBE, Alexandria) gives the computed powder diffraction line list in this record (Cu Kα (λ = 1.5418 Å)).

Most intense lines, 2θ = 15–90°, by angle:
| index | d [Å] | 2θ (°) | I (rel.) |
| --- | --- | --- | --- |
| 0 0 12 | 3.854 | 23.08 | 28 |
| 0 1 5 | 3.739 | 23.80 | 21 |
| 1 0 7 | 3.476 | 25.63 | 100 |
| 0 1 14 | 2.569 | 34.92 | 17 |
| 1 1 0 | 2.360 | 38.13 | 48 |
| 0 1 17 | 2.265 | 39.80 | 25 |
| 1 1 12 | 2.013 | 45.04 | 20 |
| 0 2 7 | 1.953 | 46.51 | 20 |
| 2 1 7 | 1.504 | 61.65 | 17 |
| 1 1 24 | 1.493 | 62.19 | 20 |

Structure:
```
data_SrLiTeI
_cell_length_a 4.7199
_cell_length_b 4.7199
_cell_length_c 46.2500
_cell_angle_alpha 90.00
_cell_angle_beta 90.00
_cell_angle_gamma 120.00
_space_group_name_H-M_alt 'R -3 m'
_space_group_IT_number 166
_space_group_name_Hall '-R 3 2"'
loop_
_atom_site_label
_atom_site_fract_x
_atom_site_fract_y
_atom_site_fract_z
_atom_site_occupancy
Sr1 0.0000 0.0000 0.0830 1
Li1 0.0000 0.0000 0.3127 1
Te1 0.0000 0.0000 0.3736 1
I1 0.0000 0.0000 0.2104 1
```



For NaTmCu10, a DFT-relaxed cell (PBE, Alexandria) gives the computed powder diffraction line list in this record (Cu Kα (λ = 1.5418 Å)).

Most intense lines, 2θ = 15–90°, by angle:
| index | d [Å] | 2θ (°) | I (rel.) |
| --- | --- | --- | --- |
| 1 1 1 | 2.966 | 30.13 | 25 |
| 0 2 0 | 2.510 | 35.78 | 24 |
| 0 0 4 | 2.173 | 41.55 | 31 |
| 1 1 3 | 2.134 | 42.35 | 100 |
| 2 0 0 | 2.029 | 44.65 | 30 |
| 1 2 2 | 1.916 | 47.45 | 24 |
| 2 0 4 | 1.483 | 62.63 | 18 |
| 1 3 3 | 1.365 | 68.80 | 21 |
| 0 4 0 | 1.255 | 75.82 | 17 |
| 3 1 3 | 1.191 | 80.69 | 14 |

Structure:
```
data_NaTmCu10
_cell_length_a 4.059
_cell_length_b 5.021
_cell_length_c 8.690
_cell_angle_alpha 90.00
_cell_angle_beta 90.00
_cell_angle_gamma 90.00
_space_group_name_H-M_alt 'P m m m'
_space_group_IT_number 47
loop_
_space_group_symop_operation_xyz
'x,y,z'
'-x,-y,-z'
'-x,-y,z'
'x,y,-z'
'x,-y,-z'
'-x,y,z'
'-x,y,-z'
'x,-y,z'
loop_
_atom_site_label
_atom_site_fract_x
_atom_site_fract_y
_atom_site_fract_z
_atom_site_occupancy
Na1 0.000 0.000 0.000 1
Tm1 0.000 0.500 0.500 1
Cu1 0.000 0.000 0.332 1
Cu2 0.000 0.500 0.166 1
Cu3 0.500 0.000 0.500 1
Cu4 0.500 0.256 0.256 1
Cu5 0.500 0.500 0.000 1
```



For LiSmHo, a DFT-relaxed cell (PBE, Alexandria) gives the computed powder diffraction line list in this record (Cu Kα (λ = 1.5418 Å)).

Most intense lines, 2θ = 15–90°, by angle:
| index | d [Å] | 2θ (°) | I (rel.) |
| --- | --- | --- | --- |
| 0 0 2 | 4.179 | 21.26 | 19 |
| 1 0 0 | 3.028 | 29.50 | 22 |
| 1 0 1 | 2.847 | 31.42 | 100 |
| 0 0 3 | 2.786 | 32.12 | 25 |
| 0 1 2 | 2.452 | 36.65 | 63 |
| 1 0 3 | 2.050 | 44.17 | 15 |
| 1 1 0 | 1.748 | 52.32 | 19 |
| 1 0 4 | 1.720 | 53.26 | 24 |
| 0 2 1 | 1.490 | 62.32 | 14 |
| 1 1 3 | 1.481 | 62.74 | 22 |

Structure:
```
data_LiSmHo
_cell_length_a 3.4969
_cell_length_b 3.4969
_cell_length_c 8.3588
_cell_angle_alpha 90.00
_cell_angle_beta 90.00
_cell_angle_gamma 120.00
_space_group_name_H-M_alt 'P 3 m 1'
_space_group_IT_number 156
loop_
_space_group_symop_operation_xyz
'x,y,z'
'-y,x-y,z'
'-x+y,-x,z'
'-y,-x,z'
'-x+y,y,z'
'x,x-y,z'
loop_
_atom_site_label
_atom_site_fract_x
_atom_site_fract_y
_atom_site_fract_z
_atom_site_occupancy
Li1 0.0000 0.0000 0.0000 1
Sm1 0.3333 0.6667 0.6657 1
Ho1 0.6667 0.3333 0.3255 1
```